Theoretical powder diffractogram
Compound: PrMgNi10
Radiation: Cu Kα, 1.54184 Å
Structure: a crystal structure in Alexandria, relaxed with PBE

Largest 10 diffraction maxima, by angle, 15 to 90 degrees two-theta:
- 2θ 30.92, I = 37
- 2θ 37.04, I = 22
- 2θ 42.99, I = 17
- 2θ 43.14, I = 30
- 2θ 43.65, I = 100
- 2θ 43.77, I = 51
- 2θ 45.46, I = 49
- 2θ 49.08, I = 29
- 2θ 64.46, I = 17
- 2θ 71.51, I = 21

Atomic structure:
abc: 3.990 4.838 8.416
angles: 90.00 90.00 90.00
Space group Pmmm (No. 47)
Unique sites:
Pr (0.000, 0.000, 0.000)
Mg (0.000, 0.500, 0.500)
Ni (0.000, 0.000, 0.344)
Ni (0.000, 0.500, 0.184)
Ni (0.500, 0.000, 0.500)
Ni (0.500, 0.252, 0.257)
Ni (0.500, 0.500, 0.000)

Theoretical powder diffractogram
Compound: TiV14Mo
Radiation: Cu Kα, 1.54184 Å
Structure: a crystal structure in Alexandria, relaxed with PBE

Largest 10 diffraction maxima, by angle, 15 to 90 degrees two-theta:
- 2θ 17.92, I = 1
- 2θ 20.76, I = 3
- 2θ 27.58, I = 1
- 2θ 36.35, I = 1
- 2θ 42.22, I = 100
- 2θ 42.35, I = 20
- 2θ 61.03, I = 6
- 2θ 61.39, I = 12
- 2θ 77.07, I = 11
- 2θ 77.32, I = 23

Atomic structure:
abc: 6.073 8.537 8.548
angles: 90.00 90.00 90.00
Space group Cmmm (No. 65)
Unique sites:
Ti (0.000, 0.000, 0.000)
V (0.000, 0.000, 0.500)
V (0.000, 0.245, 0.255)
V (0.000, 0.500, 0.500)
V (0.244, 0.500, 0.258)
V (0.250, 0.250, 0.000)
V (0.250, 0.250, 0.500)
Mo (0.000, 0.500, 0.000)